This entry pairs a crystal structure of Rb3NiO3 with its computed X-ray powder pattern. Radiation: Cu Kα (weighted mean of Kα1 and Kα2). Structure: the GGA+U geometry in Alexandria.
Neutral-atom scattering factors, no anomalous dispersion.

Most intense lines, 5° ≤ 2θ ≤ 70°, by intensity:
- 2θ 28.9, rel. 100.0
- 2θ 29.5, rel. 59.3
- 2θ 30.6, rel. 56.0
- 2θ 31.3, rel. 27.3
- 2θ 44.3, rel. 19.7
- 2θ 53.3, rel. 18.2
- 2θ 43.0, rel. 17.6
- 2θ 59.1, rel. 16.8
- 2θ 49.3, rel. 15.2
- 2θ 56.7, rel. 14.8

Structure:
Unit cell a=7.405 b=7.405 c=5.847 alpha=90.00 beta=90.00 gamma=100.99
Atoms (fractional coordinates):
Rb (0.105, 0.895, 0.750)
Rb (0.175, 0.409, 0.750)
Rb (0.409, 0.175, 0.250)
Rb (0.591, 0.825, 0.750)
Rb (0.825, 0.591, 0.250)
Rb (0.895, 0.105, 0.250)
Ni (0.298, 0.702, 0.250)
Ni (0.702, 0.298, 0.750)
O (0.136, 0.864, 0.250)
O (0.191, 0.469, 0.250)
O (0.469, 0.191, 0.750)
O (0.531, 0.809, 0.250)
O (0.809, 0.531, 0.750)
O (0.864, 0.136, 0.750)